Calculated powder diffraction line list of ErMg8Cu4 for CuKα, from a DFT-relaxed cell (GGA-PBE, Alexandria).

Largest 10 diffraction maxima, by angle, 2θ = 10–90°:
- 13.16°, rel. 50
- 19.00°, rel. 40
- 26.51°, rel. 55
- 26.75°, rel. 52
- 32.82°, rel. 42
- 37.84°, rel. 69
- 38.02°, rel. 68
- 38.55°, rel. 100
- 55.13°, rel. 42
- 68.81°, rel. 25

Crystal structure
Unit cell a=7.2397 b=7.2397 c=7.2397 alpha=97.88 beta=97.88 gamma=136.53
Fractional positions:
Er1 0.0000 0.0000 0.0000
Mg1 0.0000 0.3407 0.3407
Mg2 0.0000 0.6593 0.6593
Mg3 0.2850 0.5000 0.7850
Mg4 0.3407 0.0000 0.3407
Mg5 0.5000 0.2850 0.7850
Mg6 0.5000 0.7150 0.2150
Mg7 0.6593 0.0000 0.6593
Mg8 0.7150 0.5000 0.2150
Cu1 0.0000 0.0000 0.5000
Cu2 0.0000 0.5000 0.0000
Cu3 0.5000 0.0000 0.0000
Cu4 0.5000 0.5000 0.5000